No. 1
# PmSm4Y2Tm2
Calculated PXRD pattern, Cu Kα (λ = 1.5418 Å). Input: DFT lattice parameters and positions (PBE).

Cell and atoms:
Cell lengths 15.2304, 5.0600, 8.0230 Å; angles 90.00, 108.34, 90.00 degrees
Space group C2/m (No. 12)
Asymmetric unit:
Pm1 0.0000 0.0000 0.0000 x2
Sm1 0.0550 0.5000 0.3307 x4
Sm2 0.2224 0.0000 0.3313 x4
Y1 0.1117 0.0000 0.6678 x4
Tm1 0.1681 0.5000 0.9999 x4

Peak list (10 most intense, 2θ from 15° to 90°, by intensity)
Position (°2θ)  I/Imax  index
30.53  100  3 1 1
35.36  34  0 0 3
60.50  28  9 1 0
50.96  24  0 2 3
35.48  17  0 2 0
83.04  15  9 3 0
60.66  14  3 3 1
63.55  12  6 2 2
50.87  12  6 0 2
85.62  8  0 2 6

No. 2
# Pm4SmY2Tm2
Calculated PXRD pattern, Cu Kα (λ = 1.5418 Å). Input: DFT lattice parameters and positions (PBE).

Cell and atoms:
Cell lengths 15.2677, 5.0736, 8.0376 Å; angles 90.00, 108.32, 90.00 degrees
Space group C2/m (No. 12)
Asymmetric unit:
Pm1 0.0548 0.0000 0.3302 x4
Pm2 0.2224 0.5000 0.3310 x4
Sm1 0.0000 0.5000 0.0000 x2
Y1 0.1117 0.5000 0.6685 x4
Tm1 0.1680 0.0000 0.0000 x4

Peak list (10 most intense, 2θ from 15° to 90°, by intensity)
Position (°2θ)  I/Imax  index
30.46  100  3 1 1
35.28  34  0 0 3
50.83  30  0 2 3
60.33  21  9 1 0
60.46  21  3 3 1
35.38  17  0 2 0
82.80  14  9 3 0
85.39  8  12 2 -2
63.33  6  6 2 2
63.44  6  6 2 -4

No. 3
# Pm6SmY3Tm2
Calculated PXRD pattern, Cu Kα (λ = 1.5418 Å). Input: DFT lattice parameters and positions (PBE).

Cell and atoms:
Cell lengths 6.2521, 10.8258, 11.8572 Å; angles 90.00, 100.09, 90.00 degrees
Space group C2/m (No. 12)
Asymmetric unit:
Pm1 0.2494 0.1670 0.2511 x8
Pm2 0.2496 0.0000 0.7489 x4
Sm1 0.0000 0.5000 0.5000 x2
Y1 0.0000 0.0000 0.0000 x2
Y2 0.0000 0.3331 0.0000 x4
Tm1 0.0000 0.1665 0.5000 x4

Peak list (10 most intense, 2θ from 15° to 90°, by intensity)
Position (°2θ)  I/Imax  index
30.36  100  1 3 1
35.28  67  2 0 2
30.63  33  0 0 4
60.30  28  3 3 3
50.58  24  0 6 0
50.93  24  1 3 5
60.14  14  4 0 0
60.61  14  2 0 6
63.17  12  2 6 2
82.37  12  4 6 0